1.
Calculated XRD peak list of Ca3WO6 for CuKα, from DFT lattice parameters and positions (GGA+U).
No peak broadening, texture or thermal motion is included.

Crystal structure
abc: 6.611 6.611 6.611
angles: 91.53 91.53 91.53
Positions (direct):
Ca: 0.062 0.752 0.566
Ca: 0.248 0.434 0.938
Ca: 0.434 0.938 0.248
Ca: 0.566 0.062 0.752
Ca: 0.752 0.566 0.062
Ca: 0.938 0.248 0.434
W: 0.000 0.000 0.000
W: 0.500 0.500 0.500
O: 0.047 0.717 0.922
O: 0.078 0.953 0.283
O: 0.217 0.432 0.562
O: 0.283 0.078 0.953
O: 0.432 0.562 0.217
O: 0.438 0.783 0.568
O: 0.562 0.217 0.432
O: 0.568 0.438 0.783
O: 0.717 0.922 0.047
O: 0.783 0.568 0.438
O: 0.922 0.047 0.717
O: 0.953 0.283 0.078

Main lines, sorted by position (2θ from 15° to 90°):
2θ 18.73, rel. 88
2θ 19.26, rel. 100
2θ 26.99, rel. 72
2θ 32.75, rel. 29
2θ 33.06, rel. 74
2θ 33.99, rel. 22
2θ 42.94, rel. 34
2θ 43.68, rel. 48
2θ 51.01, rel. 32
2θ 51.89, rel. 26

2.
Calculated XRD peak list of Li2FeCO5 for CuKα, from DFT lattice parameters and positions (GGA+U).
No peak broadening, texture or thermal motion is included.

Crystal structure
abc: 9.341 12.292 2.915
angles: 90.00 90.00 90.00
Positions (direct):
Li: 0.000 0.000 0.000
Li: 0.000 0.500 0.500
Li: 0.008 0.220 0.500
Li: 0.492 0.720 0.500
Li: 0.500 0.000 0.500
Li: 0.500 0.500 0.000
Li: 0.508 0.280 0.500
Li: 0.992 0.780 0.500
Fe: 0.246 0.387 0.000
Fe: 0.254 0.887 0.000
Fe: 0.746 0.113 0.000
Fe: 0.754 0.613 0.000
C: 0.229 0.639 0.000
C: 0.271 0.139 0.000
C: 0.729 0.861 0.000
C: 0.771 0.361 0.000
O: 0.120 0.358 0.500
O: 0.126 0.920 0.500
O: 0.134 0.139 0.000
O: 0.155 0.548 0.000
O: 0.156 0.730 0.000
O: 0.344 0.230 0.000
O: 0.345 0.048 0.000
O: 0.366 0.639 0.000
O: 0.374 0.420 0.500
O: 0.380 0.858 0.500
O: 0.620 0.142 0.500
O: 0.626 0.580 0.500
O: 0.634 0.361 0.000
O: 0.655 0.952 0.000
O: 0.656 0.770 0.000
O: 0.844 0.270 0.000
O: 0.845 0.452 0.000
O: 0.866 0.861 0.000
O: 0.874 0.080 0.500
O: 0.880 0.642 0.500

Main lines, sorted by position (2θ from 15° to 90°):
2θ 17.27, rel. 83
2θ 19.00, rel. 100
2θ 29.06, rel. 36
2θ 30.67, rel. 42
2θ 34.95, rel. 34
2θ 36.33, rel. 53
2θ 45.09, rel. 46
2θ 47.17, rel. 20
2θ 58.92, rel. 21
2θ 60.79, rel. 22

3.
Calculated XRD peak list of Li9Mn2Co5O16 for CuKα, from DFT lattice parameters and positions (GGA+U).
No peak broadening, texture or thermal motion is included.

Crystal structure
abc: 5.154 6.444 8.589
angles: 96.97 94.47 95.99
Positions (direct):
Li: 0.000 0.000 0.000
Li: 0.000 0.236 0.744
Li: 0.003 0.506 0.504
Li: 0.006 0.751 0.261
Li: 0.254 0.936 0.565
Li: 0.504 0.115 0.870
Li: 0.505 0.371 0.625
Li: 0.505 0.631 0.385
Li: 0.511 0.880 0.129
Mn: 0.754 0.060 0.442
Mn: 0.754 0.562 0.938
Co: 0.253 0.691 0.809
Co: 0.254 0.187 0.315
Co: 0.255 0.434 0.067
Co: 0.754 0.311 0.190
Co: 0.754 0.810 0.691
O: 0.108 0.205 0.514
O: 0.108 0.938 0.777
O: 0.111 0.689 0.018
O: 0.141 0.455 0.274
O: 0.368 0.170 0.103
O: 0.396 0.429 0.863
O: 0.398 0.932 0.350
O: 0.402 0.671 0.618
O: 0.643 0.331 0.399
O: 0.644 0.580 0.151
O: 0.647 0.830 0.906
O: 0.649 0.082 0.650
O: 0.858 0.792 0.477
O: 0.860 0.537 0.729
O: 0.864 0.292 0.978
O: 0.866 0.043 0.227

Main lines, sorted by position (2θ from 15° to 90°):
2θ 18.50, rel. 100
2θ 35.16, rel. 16
2θ 36.83, rel. 24
2θ 37.53, rel. 8
2θ 38.10, rel. 7
2θ 42.36, rel. 30
2θ 44.72, rel. 50
2θ 47.92, rel. 9
2θ 63.29, rel. 30
2θ 65.86, rel. 9

4.
Calculated XRD peak list of MgV5O10 for CuKα, from DFT lattice parameters and positions (GGA+U).
No peak broadening, texture or thermal motion is included.

Crystal structure
abc: 5.404 5.560 7.437
angles: 78.89 71.64 62.19
Positions (direct):
Mg: 0.000 0.000 0.000
V: 0.169 0.534 0.789
V: 0.274 0.056 0.602
V: 0.433 0.071 0.190
V: 0.577 0.568 0.008
V: 0.851 0.046 0.419
O: 0.037 0.819 0.590
O: 0.089 0.244 0.409
O: 0.234 0.865 0.188
O: 0.345 0.347 0.008
O: 0.359 0.778 0.802
O: 0.481 0.246 0.604
O: 0.612 0.868 0.398
O: 0.698 0.260 0.199
O: 0.774 0.790 0.002
O: 0.963 0.318 0.813

Main lines, sorted by position (2θ from 15° to 90°):
2θ 18.07, rel. 56
2θ 20.07, rel. 30
2θ 21.49, rel. 95
2θ 22.63, rel. 97
2θ 25.66, rel. 57
2θ 27.57, rel. 78
2θ 38.37, rel. 100
2θ 43.69, rel. 99
2θ 47.20, rel. 72
2θ 56.45, rel. 30

5.
Calculated XRD peak list of Li4Cr3NiP4O16 for CuKα, from DFT lattice parameters and positions (GGA+U).
No peak broadening, texture or thermal motion is included.

Crystal structure
abc: 4.784 6.270 10.202
angles: 90.00 90.44 90.00
Positions (direct):
Li: 0.000 0.245 0.000
Li: 0.000 0.755 0.000
Li: 0.508 0.248 0.504
Li: 0.508 0.752 0.504
Cr: 0.050 0.500 0.721
Cr: 0.457 0.500 0.218
Cr: 0.955 0.000 0.286
Ni: 0.519 0.000 0.781
P: 0.086 0.000 0.599
P: 0.418 0.000 0.095
P: 0.586 0.500 0.906
P: 0.922 0.500 0.408
O: 0.197 0.000 0.455
O: 0.228 0.195 0.669
O: 0.228 0.805 0.669
O: 0.246 0.500 0.401
O: 0.262 0.500 0.900
O: 0.286 0.198 0.163
O: 0.286 0.802 0.163
O: 0.304 0.000 0.951
O: 0.697 0.500 0.051
O: 0.715 0.298 0.840
O: 0.715 0.702 0.840
O: 0.742 0.000 0.104
O: 0.765 0.000 0.605
O: 0.787 0.302 0.342
O: 0.787 0.698 0.342
O: 0.814 0.500 0.553

Main lines, sorted by position (2θ from 15° to 90°):
2θ 17.39, rel. 38
2θ 20.44, rel. 48
2θ 20.57, rel. 36
2θ 22.47, rel. 25
2θ 24.94, rel. 45
2θ 25.04, rel. 47
2θ 28.47, rel. 93
2θ 35.32, rel. 100
2θ 35.52, rel. 59
2θ 56.04, rel. 24